Calculated XRD peak list of RbPdAuO2 for Cu Kα (weighted mean of Kα1 and Kα2), from a PBE-relaxed structure.
Intensities are scaled so that the largest is 1000.

Largest 12 diffraction maxima, by intensity, 2θ from 10° to 80°:
Position (°2θ)  I_rel
13.82  1000
35.66  618
43.48  496
27.85  495
32.71  429
41.48  375
54.49  217
26.25  188
70.33  158
68.36  145
58.83  138
31.39  133

Atomic structure:
Lattice parameters (Å, degrees): 7.2512 7.2512 4.6294 90.00 90.00 124.17
Atoms (fractional coordinates):
Rb1 0.2500 0.7500 0.7763
Rb2 0.7500 0.2500 0.2237
Pd1 0.2500 0.2500 0.5000
Pd2 0.7500 0.7500 0.5000
Au1 0.0000 0.0000 0.0000
Au2 0.5000 0.5000 0.0000
O1 0.0945 0.9055 0.3632
O2 0.4055 0.5945 0.3632
O3 0.5945 0.4055 0.6368
O4 0.9055 0.0945 0.6368